Simulated X-ray diffraction stick pattern of Li4V3C6O18 for Cu Kα, from a PBE+U-relaxed structure.
Neutral-atom scattering factors, no anomalous dispersion.

Crystal structure
```
data_Li4V3C6O18
_chemical_formula_sum 'Li4 V3 C6 O18'
_symmetry_space_group_name_H-M 'P 1'
_symmetry_Int_Tables_number 1
_cell_length_a 4.7471
_cell_length_b 5.9918
_cell_length_c 12.2504
_cell_angle_alpha 100.98
_cell_angle_beta 90.16
_cell_angle_gamma 113.32
loop_
_symmetry_equiv_pos_as_xyz
'x,y,z'
loop_
_atom_site_label
_atom_site_type_symbol
_atom_site_fract_x
_atom_site_fract_y
_atom_site_fract_z
Li1 Li 0.1006 0.1960 0.1079
Li2 Li 0.2470 0.4871 0.5727
Li3 Li 0.7530 0.5129 0.4273
Li4 Li 0.8994 0.8040 0.8921
V1 V 0.1651 0.3293 0.8320
V2 V 0.5000 0.0000 0.5000
V3 V 0.8349 0.6707 0.1680
C1 C 0.0478 0.0989 0.3645
C2 C 0.2880 0.5778 0.3037
C3 C 0.3827 0.7610 0.0296
C4 C 0.6173 0.2390 0.9704
C5 C 0.7120 0.4222 0.6963
C6 C 0.9522 0.9011 0.6355
O1 O 0.0986 0.4933 0.2147
O2 O 0.1136 0.9992 0.2702
O3 O 0.1156 0.7778 0.0351
O4 O 0.2026 0.6575 0.3987
O5 O 0.2155 0.8885 0.6245
O6 O 0.2582 0.1987 0.4499
O7 O 0.4224 0.1536 0.8841
O8 O 0.4415 0.4247 0.7012
O9 O 0.4505 0.6618 0.9349
O10 O 0.5495 0.3382 0.0651
O11 O 0.5585 0.5753 0.2988
O12 O 0.5776 0.8464 0.1159
O13 O 0.7418 0.8013 0.5501
O14 O 0.7845 0.1115 0.3755
O15 O 0.7974 0.3425 0.6013
O16 O 0.8844 0.2222 0.9649
O17 O 0.8864 0.0008 0.7298
O18 O 0.9014 0.5067 0.7853
```

Most intense lines, 5 to 70 degrees two-theta, in order of falling intensity:
index	two_theta	intensity
1 0 -2	24.28	100
0 1 -1	16.59	87
1 1 -3	35.41	67
0 1 2	24.43	50
0 2 1	35.70	32
2 -2 1	41.66	29
1 0 -5	41.43	28
1 1 3	41.81	27
0 2 -2	33.54	18
1 2 -1	45.44	17

=====

Simulated X-ray diffraction stick pattern of LiVCO4 for Cu Kα, from a PBE+U-relaxed structure.
Neutral-atom scattering factors, no anomalous dispersion.

Crystal structure
```
data_LiVCO4
_chemical_formula_sum 'Li4 V4 C4 O16'
_symmetry_space_group_name_H-M 'P 1'
_symmetry_Int_Tables_number 1
_cell_length_a 3.1840
_cell_length_b 9.3755
_cell_length_c 9.4049
_cell_angle_alpha 90.00
_cell_angle_beta 91.35
_cell_angle_gamma 90.00
loop_
_symmetry_equiv_pos_as_xyz
'x,y,z'
loop_
_atom_site_label
_atom_site_type_symbol
_atom_site_fract_x
_atom_site_fract_y
_atom_site_fract_z
Li1 Li 0.2505 0.1916 0.0913
Li2 Li 0.2505 0.3084 0.5913
Li3 Li 0.7495 0.6916 0.4087
Li4 Li 0.7495 0.8084 0.9087
V1 V 0.2440 0.5609 0.1188
V2 V 0.2440 0.9391 0.6188
V3 V 0.7560 0.0609 0.3812
V4 V 0.7560 0.4391 0.8812
C1 C 0.2555 0.6305 0.6661
C2 C 0.2555 0.8695 0.1661
C3 C 0.7445 0.1305 0.8339
C4 C 0.7445 0.3695 0.3339
O1 O 0.2411 0.7502 0.2387
O2 O 0.2411 0.7498 0.7387
O3 O 0.2449 0.1139 0.5016
O4 O 0.2449 0.3861 0.0016
O5 O 0.2576 0.6269 0.5331
O6 O 0.2576 0.8731 0.0331
O7 O 0.2634 0.5081 0.7410
O8 O 0.2634 0.9919 0.2410
O9 O 0.7366 0.0081 0.7590
O10 O 0.7366 0.4919 0.2590
O11 O 0.7424 0.1269 0.9669
O12 O 0.7424 0.3731 0.4669
O13 O 0.7551 0.6139 0.9984
O14 O 0.7551 0.8861 0.4984
O15 O 0.7589 0.2502 0.2613
O16 O 0.7589 0.2498 0.7613
```

Most intense lines, 5 to 70 degrees two-theta, in order of falling intensity:
index	two_theta	intensity
0 1 1	13.34	100
1 0 2	34.43	72
0 1 2	21.14	40
1 0 -2	33.63	35
0 2 0	18.93	30
1 1 0	29.64	29
0 4 2	43.11	23
2 0 0	57.95	17
0 3 1	30.12	14
1 1 -3	41.08	13